Structure and theoretical powder diffractogram of K4Er3PaTe8 (a cell relaxed with GGA-PBE; a wavelength of 1.5418 Å).
No peak broadening, texture or thermal motion is included.

The 6 most intense peaks (2θ from 15° to 90°), in order of rising 2θ:
Position (°2θ), d_spacing, I_rel
27.2, 3.281, 100
34.3, 2.614, 20
37.1, 2.421, 36
40.4, 2.231, 36
49.4, 1.845, 19
65.7, 1.422, 16

Crystal structure
```
K4Er3PaTe8
1.0
4.4618 2.5760 8.2820
-4.4618 2.5760 8.2820
0.0000 -5.1520 8.2820
K Er Pa Te
4 3 1 8
Cartesian
0.0000 0.0000 0.0000
-2.2309 -1.2880 8.2820
-2.2309 1.2880 16.5640
0.0000 2.5760 8.2820
-4.4618 0.0000 12.4230
-2.2309 1.2880 4.1410
2.2309 1.2880 4.1410
0.0000 0.0000 12.4230
-2.2561 -1.3025 14.1647
0.0000 0.0000 5.8522
0.0000 -2.6051 10.6813
-2.2561 1.3025 10.6813
2.2561 -1.3025 14.1647
0.0000 2.6051 14.1647
0.0000 0.0000 18.9938
2.2561 1.3025 10.6813
```